Fe5OF11: computed XRD peak list (a wavelength of 1.5418 Å), based on a crystal structure in the Materials Project, relaxed with PBE+U.
Peak positions follow from Bragg's law for the DFT cell and can differ from measured ones.

Structural model:
Unit cell a=5.2173 b=5.5467 c=9.1849 alpha=73.45 beta=89.62 gamma=63.18
Fractional coordinates of all 17 atoms:
Fe: 0.0000 0.0000 0.0000
Fe: 0.0283 0.2815 0.3609
Fe: 0.3172 0.5074 0.1022
Fe: 0.5327 0.7334 0.8372
Fe: 0.7665 0.0111 0.5873
O: 0.4167 0.7305 0.0081
F: 0.0231 0.6499 0.4738
F: 0.0303 0.9277 0.2222
F: 0.0790 0.9660 0.7726
F: 0.0914 0.3373 0.1648
F: 0.4552 0.0917 0.4142
F: 0.5348 0.3741 0.7070
F: 0.5649 0.1213 0.9563
F: 0.5962 0.8277 0.6582
F: 0.6206 0.4522 0.2968
F: 0.9503 0.5871 0.9056
F: 0.9669 0.1919 0.5322

Main lines, low angle first (10 to 90 degrees two-theta):
2θ = 18.4°, 4.819 Å, I 100, (0 1 1)
2θ = 23.1°, 3.854 Å, I 66, (1 0 1)
2θ = 26.0°, 3.427 Å, I 34, (1 1 2)
2θ = 30.8°, 2.905 Å, I 29, (1 1 -2)
2θ = 32.4°, 2.761 Å, I 24, (1 2 1)
2θ = 37.3°, 2.410 Å, I 34, (0 2 2)
2θ = 39.1°, 2.303 Å, I 23, (2 0 0)
2θ = 49.7°, 1.834 Å, I 23, (0 1 5)